Entry 1:
This entry pairs a crystal structure of Na2Al2F7 with its simulated PXRD pattern. Radiation: Cu Kα X-rays. Structure: the PBE geometry in Alexandria.
Kinematic intensities with the Lorentz-polarization factor, no thermal factor.

Largest 10 diffraction maxima, low angle first, 10° ≤ 2θ ≤ 90°:
2theta  d_spacing  I/Imax
17.28  5.133  52.8
26.78  3.329  100.0
26.91  3.313  74.8
29.37  3.041  24.3
29.72  3.006  82.8
38.90  2.315  25.1
39.09  2.305  49.9
39.89  2.260  25.2
43.75  2.069  38.0
53.61  1.710  56.6

a = 6.2581 Å, b = 6.2581 Å, c = 4.7239 Å
α = 102.50°, β = 102.50°, γ = 110.20°
Fractional coordinates of all 11 atoms:
Na: 0.1794 0.8206 0.0000
Na: 0.8206 0.1794 0.0000
Al: 0.3158 0.3158 0.6814
Al: 0.6842 0.6842 0.3186
F: 0.1089 0.4162 0.7882
F: 0.1221 0.1221 0.3160
F: 0.4162 0.1089 0.7882
F: 0.5000 0.5000 0.5000
F: 0.5838 0.8911 0.2118
F: 0.8779 0.8779 0.6840
F: 0.8911 0.5838 0.2118

Entry 2:
This entry pairs a crystal structure of Na6AlF8 with its simulated PXRD pattern. Radiation: Cu Kα X-rays. Structure: the PBE geometry in Alexandria.
Kinematic intensities with the Lorentz-polarization factor, no thermal factor.

Largest 10 diffraction maxima, low angle first, 10° ≤ 2θ ≤ 90°:
2theta  d_spacing  I/Imax
16.04  5.525  69.0
37.60  2.392  100.0
42.24  2.140  6.6
49.50  1.842  18.6
54.23  1.692  47.5
57.81  1.595  6.5
64.61  1.443  9.2
67.86  1.381  11.1
70.25  1.340  7.3
89.23  1.098  6.5

a = 6.7662 Å, b = 6.7662 Å, c = 6.7662 Å
α = 60.00°, β = 60.00°, γ = 60.00°
Fractional coordinates of all 15 atoms:
Na: 0.0000 0.0000 0.5000
Na: 0.0000 0.5000 0.0000
Na: 0.0000 0.5000 0.5000
Na: 0.5000 0.0000 0.0000
Na: 0.5000 0.0000 0.5000
Na: 0.5000 0.5000 0.0000
Al: 0.0000 0.0000 0.0000
F: 0.1932 0.1932 0.8068
F: 0.1932 0.8068 0.1932
F: 0.1932 0.8068 0.8068
F: 0.2500 0.2500 0.2500
F: 0.7500 0.7500 0.7500
F: 0.8068 0.1932 0.1932
F: 0.8068 0.1932 0.8068
F: 0.8068 0.8068 0.1932

Entry 3:
This entry pairs a crystal structure of NaAlPb2F8 with its simulated PXRD pattern. Radiation: Cu Kα X-rays. Structure: the PBE geometry in Alexandria.
Kinematic intensities with the Lorentz-polarization factor, no thermal factor.

Largest 10 diffraction maxima, low angle first, 10° ≤ 2θ ≤ 90°:
2theta  d_spacing  I/Imax
16.80  5.277  100.0
17.86  4.966  76.5
24.29  3.665  43.0
24.45  3.641  92.9
24.79  3.592  70.3
29.48  3.030  49.1
29.88  2.990  40.0
30.06  2.973  36.1
30.56  2.925  34.7
45.89  1.977  31.7

a = 4.9669 Å, b = 5.2777 Å, c = 7.3314 Å
α = 90.81°, β = 90.96°, γ = 90.77°
Fractional coordinates of all 12 atoms:
Na: 0.0000 0.0000 0.0000
Al: 0.0000 0.0000 0.5000
Pb: 0.4435 0.4901 0.7383
Pb: 0.5565 0.5099 0.2617
F: 0.1430 0.7568 0.3468
F: 0.1770 0.8816 0.7072
F: 0.2810 0.2155 0.4550
F: 0.3033 0.3095 0.0242
F: 0.6967 0.6905 0.9758
F: 0.7190 0.7845 0.5450
F: 0.8230 0.1184 0.2928
F: 0.8570 0.2432 0.6532

Entry 4:
This entry pairs a crystal structure of Rb2NaAl3F12 with its simulated PXRD pattern. Radiation: Cu Kα X-rays. Structure: the PBE geometry in Alexandria.
Kinematic intensities with the Lorentz-polarization factor, no thermal factor.

Largest 10 diffraction maxima, low angle first, 10° ≤ 2θ ≤ 90°:
2theta  d_spacing  I/Imax
24.69  3.605  30.5
24.82  3.587  54.2
29.01  3.078  26.7
29.34  3.045  100.0
29.52  3.026  96.5
29.70  3.008  30.6
35.48  2.530  30.1
38.88  2.316  23.7
47.05  1.932  35.3
51.72  1.767  31.7

a = 7.2125 Å, b = 7.1024 Å, c = 10.0247 Å
α = 90.00°, β = 91.19°, γ = 90.00°
Fractional coordinates of all 36 atoms:
Rb: 0.0006 0.2500 0.1141
Rb: 0.4776 0.2500 0.3623
Rb: 0.5224 0.7500 0.6377
Rb: 0.9994 0.7500 0.8859
Na: 0.2182 0.7500 0.2438
Na: 0.7818 0.2500 0.7562
Al: 0.0000 0.0000 0.5000
Al: 0.0000 0.5000 0.5000
Al: 0.2889 0.2500 0.7293
Al: 0.5000 0.0000 0.0000
Al: 0.5000 0.5000 0.0000
Al: 0.7111 0.7500 0.2707
F: 0.0753 0.7500 0.5119
F: 0.0859 0.2500 0.8236
F: 0.1449 0.0293 0.3607
F: 0.1449 0.4707 0.3607
F: 0.1979 0.0636 0.6148
F: 0.1979 0.4364 0.6148
F: 0.2780 0.5369 0.0688
F: 0.2780 0.9631 0.0688
F: 0.3889 0.0594 0.8366
F: 0.3889 0.4406 0.8366
F: 0.4919 0.2500 0.0560
F: 0.5000 0.2500 0.6397
F: 0.5000 0.7500 0.3603
F: 0.5081 0.7500 0.9440
F: 0.6111 0.5594 0.1634
F: 0.6111 0.9406 0.1634
F: 0.7220 0.0369 0.9312
F: 0.7220 0.4631 0.9312
F: 0.8021 0.5636 0.3852
F: 0.8021 0.9364 0.3852
F: 0.8551 0.5293 0.6393
F: 0.8551 0.9707 0.6393
F: 0.9141 0.7500 0.1764
F: 0.9247 0.2500 0.4881

Entry 5:
This entry pairs a crystal structure of Rb2NaAl6F21 with its simulated PXRD pattern. Radiation: Cu Kα X-rays. Structure: the PBE geometry in Alexandria.
Kinematic intensities with the Lorentz-polarization factor, no thermal factor.

Largest 10 diffraction maxima, low angle first, 10° ≤ 2θ ≤ 90°:
2theta  d_spacing  I/Imax
19.10  4.647  44.8
26.26  3.393  44.2
26.90  3.315  100.0
28.97  3.082  42.7
29.33  3.045  89.9
31.80  2.814  36.1
38.75  2.324  35.5
45.43  1.997  34.2
47.82  1.902  34.4
51.69  1.768  66.0

a = 7.0716 Å, b = 7.0716 Å, c = 10.3461 Å
α = 109.93°, β = 109.93°, γ = 60.06°
Fractional coordinates of all 30 atoms:
Rb: 0.1377 0.1377 0.4097
Rb: 0.8623 0.8623 0.5903
Na: 0.4820 0.5180 0.5000
Al: 0.0362 0.5909 0.1902
Al: 0.4086 0.4640 0.8090
Al: 0.4091 0.9638 0.8098
Al: 0.5360 0.5914 0.1910
Al: 0.5369 0.0902 0.1927
Al: 0.9098 0.4631 0.8073
F: 0.1155 0.6578 0.3745
F: 0.1186 0.1739 0.8124
F: 0.1265 0.5487 0.8285
F: 0.2399 0.6622 0.1690
F: 0.2431 0.2976 0.1861
F: 0.3199 0.4333 0.6245
F: 0.3378 0.7601 0.8310
F: 0.3422 0.8845 0.6255
F: 0.4513 0.8735 0.1715
F: 0.4787 0.0468 0.0008
F: 0.4856 0.1695 0.7968
F: 0.5041 0.4959 0.0000
F: 0.5667 0.6801 0.3755
F: 0.5879 0.1424 0.3780
F: 0.6207 0.3049 0.2038
F: 0.6951 0.3793 0.7962
F: 0.7024 0.7569 0.8139
F: 0.8261 0.8814 0.1876
F: 0.8305 0.5144 0.2032
F: 0.8576 0.4121 0.6220
F: 0.9532 0.5213 0.9992

Entry 6:
This entry pairs a crystal structure of NaAl2TlF8 with its simulated PXRD pattern. Radiation: Cu Kα X-rays. Structure: the PBE geometry in Alexandria.
Kinematic intensities with the Lorentz-polarization factor, no thermal factor.

Largest 10 diffraction maxima, low angle first, 10° ≤ 2θ ≤ 90°:
2theta  d_spacing  I/Imax
11.46  7.724  48.3
19.18  4.627  53.3
20.31  4.373  28.0
24.32  3.660  100.0
26.96  3.308  24.2
32.85  2.726  38.8
34.89  2.572  78.7
36.39  2.469  25.3
40.50  2.227  39.2
58.61  1.575  38.8

a = 8.3406 Å, b = 8.3406 Å, c = 8.3406 Å
α = 38.16°, β = 38.16°, γ = 38.16°
Fractional coordinates of all 12 atoms:
Na: 0.0000 0.0000 0.0000
Al: 0.2545 0.2545 0.2545
Al: 0.7455 0.7455 0.7455
Tl: 0.5000 0.5000 0.5000
F: 0.0201 0.4243 0.7278
F: 0.1808 0.1808 0.1808
F: 0.2722 0.9799 0.5757
F: 0.4243 0.7278 0.0201
F: 0.5757 0.2722 0.9799
F: 0.7278 0.0201 0.4243
F: 0.8192 0.8192 0.8192
F: 0.9799 0.5757 0.2722